Calculated powder XRD pattern
Compound: K3Na2
Radiation: CuKα
Structure: the GGA-PBE geometry in Alexandria
Lines closer than 0.1° are merged.

The 12 most intense peaks (10° ≤ 2θ ≤ 90°), by angle:
two_theta, I/Imax
17.25, 12
18.72, 25
24.74, 100
27.06, 51
27.81, 23
28.04, 29
33.74, 12
40.93, 15
42.08, 23
45.36, 9
49.43, 11
51.22, 17

Atomic structure:
abc: 10.698 10.698 10.698
angles: 47.33 47.33 47.33
Fractional coordinates of all 10 atoms:
K 0.228 0.750 0.272
K 0.250 0.728 0.772
K 0.272 0.228 0.750
K 0.728 0.772 0.250
K 0.750 0.272 0.228
K 0.772 0.250 0.728
Na 0.192 0.192 0.192
Na 0.308 0.308 0.308
Na 0.692 0.692 0.692
Na 0.808 0.808 0.808

***

Calculated powder XRD pattern
Compound: K11Na4
Radiation: CuKα
Structure: the GGA-PBE geometry in Alexandria
Lines closer than 0.1° are merged.

The 12 most intense peaks (10° ≤ 2θ ≤ 90°), by angle:
two_theta, I/Imax
24.07, 100
24.81, 92
25.53, 79
26.49, 82
27.14, 37
27.50, 19
28.75, 19
41.06, 22
41.33, 23
41.92, 18
44.66, 28
51.34, 21

Atomic structure:
abc: 15.245 15.245 8.121
angles: 90.00 90.00 90.00
Fractional coordinates of all 30 atoms:
K 0.000 0.000 0.000
K 0.056 0.284 0.000
K 0.109 0.109 0.500
K 0.187 0.813 0.252
K 0.187 0.813 0.748
K 0.216 0.556 0.500
K 0.284 0.056 0.000
K 0.313 0.313 0.248
K 0.313 0.313 0.752
K 0.391 0.609 0.000
K 0.444 0.784 0.500
K 0.500 0.500 0.500
K 0.556 0.216 0.500
K 0.609 0.391 0.000
K 0.687 0.687 0.248
K 0.687 0.687 0.752
K 0.716 0.944 0.000
K 0.784 0.444 0.500
K 0.813 0.187 0.252
K 0.813 0.187 0.748
K 0.891 0.891 0.500
K 0.944 0.716 0.000
Na 0.033 0.370 0.500
Na 0.130 0.533 0.000
Na 0.370 0.033 0.500
Na 0.467 0.870 0.000
Na 0.533 0.130 0.000
Na 0.630 0.967 0.500
Na 0.870 0.467 0.000
Na 0.967 0.630 0.500

***

Calculated powder XRD pattern
Compound: K4Na3
Radiation: CuKα
Structure: the GGA-PBE geometry in Alexandria
Lines closer than 0.1° are merged.

The 12 most intense peaks (10° ≤ 2θ ≤ 90°), by angle:
two_theta, I/Imax
25.92, 52
26.10, 52
26.35, 100
26.56, 99
37.12, 38
38.39, 17
45.85, 19
46.22, 38
46.33, 20
47.02, 18
54.70, 11
60.53, 15

Atomic structure:
abc: 11.568 6.827 10.600
angles: 90.00 113.05 90.00
Fractional coordinates of all 14 atoms:
K 0.068 0.000 0.206
K 0.219 0.000 0.654
K 0.281 0.500 0.346
K 0.432 0.500 0.794
K 0.568 0.500 0.206
K 0.719 0.500 0.654
K 0.781 0.000 0.346
K 0.932 0.000 0.794
Na 0.000 0.500 0.500
Na 0.142 0.500 0.924
Na 0.358 0.000 0.076
Na 0.500 0.000 0.500
Na 0.642 0.000 0.924
Na 0.858 0.500 0.076

***

Calculated powder XRD pattern
Compound: K7Na4
Radiation: CuKα
Structure: the GGA-PBE geometry in Alexandria
Lines closer than 0.1° are merged.

The 12 most intense peaks (10° ≤ 2θ ≤ 90°), by angle:
two_theta, I/Imax
21.22, 12
23.17, 100
24.50, 27
27.97, 27
28.27, 28
31.24, 14
32.26, 20
36.53, 8
37.51, 18
43.20, 20
46.71, 13
49.52, 9

Atomic structure:
abc: 11.099 11.099 6.380
angles: 90.00 90.00 120.00
Fractional coordinates of all 11 atoms:
K 0.000 0.000 0.000
K 0.062 0.531 0.000
K 0.375 0.188 0.500
K 0.469 0.531 0.000
K 0.469 0.938 0.000
K 0.812 0.188 0.500
K 0.812 0.625 0.500
Na 0.223 0.446 0.500
Na 0.223 0.777 0.500
Na 0.554 0.777 0.500
Na 0.667 0.333 0.000

***

Calculated powder XRD pattern
Compound: K2Na
Radiation: CuKα
Structure: the GGA-PBE geometry in Alexandria
Lines closer than 0.1° are merged.

The 12 most intense peaks (10° ≤ 2θ ≤ 90°), by angle:
two_theta, I/Imax
25.13, 38
25.47, 100
26.29, 62
36.12, 25
37.71, 11
43.96, 13
44.90, 19
45.48, 24
46.08, 12
52.29, 7
54.11, 7
58.38, 10

Atomic structure:
abc: 11.636 6.983 4.364
angles: 90.00 91.78 90.00
Fractional coordinates of all 6 atoms:
K 0.169 0.000 0.314
K 0.331 0.500 0.686
K 0.669 0.500 0.314
K 0.831 0.000 0.686
Na 0.000 0.500 0.000
Na 0.500 0.000 0.000

***

Calculated powder XRD pattern
Compound: K4Na
Radiation: CuKα
Structure: the GGA-PBE geometry in Alexandria
Lines closer than 0.1° are merged.

The 12 most intense peaks (10° ≤ 2θ ≤ 90°), by angle:
two_theta, I/Imax
19.01, 10
22.76, 19
24.17, 100
26.51, 11
29.82, 20
30.28, 21
40.83, 21
41.02, 7
41.52, 20
47.42, 16
53.63, 8
54.20, 9

Atomic structure:
abc: 9.335 9.335 7.815
angles: 90.00 90.00 90.00
Fractional coordinates of all 10 atoms:
K 0.084 0.584 0.242
K 0.084 0.916 0.758
K 0.416 0.584 0.758
K 0.416 0.916 0.242
K 0.584 0.084 0.758
K 0.584 0.416 0.242
K 0.916 0.084 0.242
K 0.916 0.416 0.758
Na 0.250 0.250 0.500
Na 0.750 0.750 0.500

***

Calculated powder XRD pattern
Compound: K3Na5
Radiation: CuKα
Structure: the GGA-PBE geometry in Alexandria
Lines closer than 0.1° are merged.

The 12 most intense peaks (10° ≤ 2θ ≤ 90°), by angle:
two_theta, I/Imax
15.49, 6
26.62, 100
30.19, 37
32.09, 14
43.22, 13
44.64, 20
51.49, 28
53.96, 9
54.84, 11
71.52, 7
80.27, 6
85.41, 5

Atomic structure:
abc: 5.920 5.920 22.311
angles: 90.00 90.00 90.00
Fractional coordinates of all 16 atoms:
K 0.000 0.000 0.000
K 0.000 0.500 0.132
K 0.000 0.500 0.368
K 0.500 0.000 0.632
K 0.500 0.000 0.868
K 0.500 0.500 0.500
Na 0.000 0.000 0.249
Na 0.000 0.000 0.500
Na 0.000 0.000 0.751
Na 0.000 0.500 0.637
Na 0.000 0.500 0.863
Na 0.500 0.000 0.137
Na 0.500 0.000 0.363
Na 0.500 0.500 0.000
Na 0.500 0.500 0.251
Na 0.500 0.500 0.749

***

Calculated powder XRD pattern
Compound: K2Na13
Radiation: CuKα
Structure: the GGA-PBE geometry in Alexandria
Lines closer than 0.1° are merged.

The 12 most intense peaks (10° ≤ 2θ ≤ 90°), by angle:
two_theta, I/Imax
21.64, 23
23.00, 32
26.74, 61
28.06, 44
28.29, 31
29.33, 100
30.00, 31
35.74, 15
38.43, 21
39.45, 53
46.33, 16
55.39, 26

Atomic structure:
abc: 10.102 10.102 10.102
angles: 55.26 55.26 55.26
Fractional coordinates of all 15 atoms:
K 0.164 0.164 0.164
K 0.836 0.836 0.836
Na 0.000 0.000 0.000
Na 0.168 0.168 0.552
Na 0.168 0.552 0.168
Na 0.312 0.312 0.683
Na 0.312 0.683 0.312
Na 0.317 0.688 0.688
Na 0.448 0.832 0.832
Na 0.552 0.168 0.168
Na 0.683 0.312 0.312
Na 0.688 0.317 0.688
Na 0.688 0.688 0.317
Na 0.832 0.448 0.832
Na 0.832 0.832 0.448